[1]
Structure and theoretical powder X-ray diffraction pattern of Cs5Bi3Au3 (a GGA-PBE-relaxed structure; copper Kα).
Lines closer than 0.1° are merged.

Most intense lines, 2θ = 10–90°, sorted by position:
| two_theta | intensity |
| --- | --- |
| 14.65 | 100 |
| 22.46 | 19 |
| 25.52 | 76 |
| 28.58 | 65 |
| 29.55 | 20 |
| 35.30 | 21 |
| 35.60 | 22 |
| 38.41 | 20 |
| 41.58 | 22 |
| 44.07 | 36 |
| 49.42 | 17 |
| 51.83 | 21 |

Crystal structure
```
11
Lattice="12.0915 0.0000 0.0000 -6.0458 10.4716 0.0000 0.0000 0.0000 5.0845" Properties=species:S:1:pos:R:3 pbc="T T T"
Cs -4.5325 7.8505 0.0000
Cs 1.5133 2.6211 0.0000
Cs 0.0000 6.9810 0.0000
Cs 6.0458 3.4905 0.0000
Cs 9.0649 0.0000 0.0000
Bi -2.2582 3.9114 0.0000
Bi 4.5165 0.0000 0.0000
Bi 3.7875 6.5602 0.0000
Au -1.7511 3.0329 2.5423
Au 3.5021 0.0000 2.5423
Au 4.2947 7.4386 2.5423
```


[2]
Structure and theoretical powder X-ray diffraction pattern of TaNiPd4 (a GGA-PBE-relaxed structure; copper Kα).
Lines closer than 0.1° are merged.

Most intense lines, 2θ = 10–90°, sorted by position:
| two_theta | intensity |
| --- | --- |
| 22.81 | 20 |
| 35.08 | 63 |
| 39.16 | 63 |
| 41.58 | 100 |
| 44.99 | 55 |
| 46.63 | 49 |
| 52.10 | 20 |
| 55.02 | 19 |
| 72.62 | 19 |
| 72.77 | 18 |
| 77.47 | 16 |
| 82.58 | 13 |

Crystal structure
```
6
Lattice="2.6137 -3.6959 0.0000 2.6137 3.6959 0.0000 -2.5927 0.0000 4.8070" Properties=species:S:1:pos:R:3 pbc="T T T"
Ta 0.0000 0.0000 0.0000
Ni -1.2963 0.0000 2.4035
Pd 0.6667 1.3772 3.5882
Pd 1.9681 1.3772 1.2189
Pd 0.6667 -1.3772 3.5882
Pd 1.9681 -1.3772 1.2189
```


[3]
Structure and theoretical powder X-ray diffraction pattern of Sm6Ge2Te3I (a GGA-PBE-relaxed structure; copper Kα).
Lines closer than 0.1° are merged.

Most intense lines, 2θ = 10–90°, sorted by position:
| two_theta | intensity |
| --- | --- |
| 28.67 | 100 |
| 40.56 | 12 |
| 40.82 | 21 |
| 41.12 | 24 |
| 41.52 | 13 |
| 50.13 | 5 |
| 50.63 | 6 |
| 51.20 | 12 |
| 59.44 | 8 |
| 67.06 | 4 |
| 67.48 | 5 |
| 68.01 | 6 |

Crystal structure
```
12
Lattice="9.6014 -2.1747 0.0000 9.6014 2.1747 0.0000 -1.9763 0.0000 8.6757" Properties=species:S:1:pos:R:3 pbc="T T T"
Sm -0.2166 0.0000 2.3819
Sm 4.4644 0.0000 7.6396
Sm 5.4301 0.0000 3.7353
Sm 11.7963 0.0000 4.9404
Sm 12.7620 0.0000 1.0361
Sm 17.4431 0.0000 6.2938
Ge 2.5927 0.0000 2.9168
Ge 14.6338 0.0000 5.7589
Te 1.3687 0.0000 7.2646
Te 8.6132 0.0000 4.3379
Te 15.8578 0.0000 1.4111
I 9.6014 0.0000 0.0000
```


[4]
Structure and theoretical powder X-ray diffraction pattern of Tl7InHg6 (a GGA-PBE-relaxed structure; copper Kα).
Lines closer than 0.1° are merged.

Most intense lines, 2θ = 10–90°, sorted by position:
| two_theta | intensity |
| --- | --- |
| 23.61 | 59 |
| 26.94 | 42 |
| 28.91 | 54 |
| 31.56 | 36 |
| 31.74 | 58 |
| 31.88 | 100 |
| 32.49 | 32 |
| 33.45 | 42 |
| 34.66 | 31 |
| 35.31 | 68 |
| 37.96 | 37 |
| 63.48 | 35 |

Crystal structure
```
28
Lattice="-3.9196 9.3210 5.9520 3.9196 -9.3210 5.9520 3.9196 9.3210 -5.9520" Properties=species:S:1:pos:R:3 pbc="T T T"
Tl 5.5122 0.7225 0.0000
Tl 5.0445 3.9081 -1.6995
Tl 1.1249 5.4128 -1.6995
Tl 0.0000 0.0000 2.9760
Tl 5.0445 3.9081 1.6995
Tl 1.1249 5.4128 1.6995
Tl 1.5926 8.5984 0.0000
Tl 2.3270 0.7225 5.9520
Tl 2.7947 3.9081 4.2525
Tl -1.1249 5.4128 4.2525
Tl 0.0000 0.0000 8.9281
Tl 2.7947 3.9081 7.6516
Tl -1.1249 5.4128 7.6516
Tl -1.5926 8.5984 5.9520
In 3.9196 0.0000 2.9760
In 0.0000 9.3210 2.9760
Hg 5.6518 -2.1282 1.6473
Hg 3.7112 -6.3275 5.9520
Hg 2.1875 -2.1282 4.3047
Hg 2.1875 2.1282 1.6473
Hg 3.7112 6.3275 0.0000
Hg 1.7321 11.4492 -1.6473
Hg 2.1875 -2.1282 7.5994
Hg 0.2084 2.9934 5.9520
Hg 1.7321 7.1928 4.3047
Hg 1.7321 11.4492 1.6473
Hg 0.2084 15.6485 0.0000
Hg -1.7321 11.4492 4.3047
```


[5]
Structure and theoretical powder X-ray diffraction pattern of CaPu3P4 (a GGA-PBE-relaxed structure; copper Kα).
Lines closer than 0.1° are merged.

Most intense lines, 2θ = 10–90°, sorted by position:
| two_theta | intensity |
| --- | --- |
| 13.51 | 24 |
| 25.92 | 12 |
| 27.11 | 73 |
| 27.28 | 24 |
| 31.45 | 100 |
| 44.88 | 13 |
| 45.00 | 25 |
| 45.19 | 37 |
| 53.28 | 16 |
| 53.42 | 20 |
| 53.59 | 12 |
| 55.86 | 13 |

Crystal structure
```
8
Lattice="6.9378 0.0000 0.0000 0.0000 4.0390 0.0000 -2.3310 0.0000 6.5709" Properties=species:S:1:pos:R:3 pbc="T T T"
Ca 0.0000 0.0000 0.0000
Pu -1.1655 2.0195 3.2854
Pu 2.3034 0.0000 3.2854
Pu 3.4689 2.0195 0.0000
P 0.0419 0.0000 4.8951
P 1.2289 2.0195 1.7229
P 3.3779 2.0195 4.8480
P 4.5649 0.0000 1.6758
```


[6]
Structure and theoretical powder X-ray diffraction pattern of Pr4Se3 (a GGA-PBE-relaxed structure; copper Kα).
Lines closer than 0.1° are merged.

Most intense lines, 2θ = 10–90°, sorted by position:
| two_theta | intensity |
| --- | --- |
| 25.83 | 7 |
| 26.06 | 24 |
| 30.11 | 100 |
| 42.96 | 34 |
| 43.26 | 38 |
| 51.07 | 7 |
| 53.61 | 20 |
| 62.60 | 11 |
| 70.80 | 13 |
| 71.24 | 17 |
| 79.14 | 11 |
| 79.35 | 6 |

Crystal structure
```
7
Lattice="2.0916 1.2076 13.7993 -2.0916 1.2076 13.7993 0.0000 -2.4151 13.7993" Properties=species:S:1:pos:R:3 pbc="T T T"
Pr 0.0000 0.0000 5.0366
Pr 0.0000 0.0000 15.3616
Pr 0.0000 0.0000 26.0363
Pr 0.0000 0.0000 36.3614
Se 0.0000 0.0000 10.4844
Se 0.0000 0.0000 20.6990
Se 0.0000 0.0000 30.9135
```


[7]
Structure and theoretical powder X-ray diffraction pattern of KTc2SnO8 (a GGA-PBE-relaxed structure; copper Kα).
Lines closer than 0.1° are merged.

Most intense lines, 2θ = 10–90°, sorted by position:
| two_theta | intensity |
| --- | --- |
| 14.64 | 100 |
| 22.63 | 81 |
| 23.84 | 40 |
| 25.22 | 59 |
| 28.43 | 64 |
| 32.72 | 26 |
| 33.06 | 19 |
| 41.07 | 18 |
| 42.03 | 28 |
| 46.47 | 25 |
| 53.54 | 20 |
| 55.71 | 13 |

Crystal structure
```
12
Lattice="5.9619 -3.5307 0.0000 5.9619 3.5307 0.0000 -0.9898 0.0000 5.5793" Properties=species:S:1:pos:R:3 pbc="T T T"
K 0.0000 0.0000 0.0000
Tc 2.9382 0.0000 4.7388
Tc 7.9959 0.0000 0.8405
Sn 5.4671 0.0000 2.7896
O 1.3325 0.0000 4.0969
O 3.9741 1.2987 4.0100
O 4.0294 0.0000 0.9251
O 6.9600 1.2987 1.5693
O 3.9741 -1.2987 4.0100
O 6.9047 0.0000 4.6542
O 6.9600 -1.2987 1.5693
O 9.6016 0.0000 1.4824
```


[8]
Structure and theoretical powder X-ray diffraction pattern of Tb6Sm3ErTh2 (a GGA-PBE-relaxed structure; copper Kα).
Lines closer than 0.1° are merged.

Most intense lines, 2θ = 10–90°, sorted by position:
| two_theta | intensity |
| --- | --- |
| 30.59 | 34 |
| 30.64 | 100 |
| 35.51 | 68 |
| 51.07 | 32 |
| 51.15 | 16 |
| 60.73 | 43 |
| 60.83 | 14 |
| 63.73 | 13 |
| 75.17 | 8 |
| 83.23 | 12 |
| 85.93 | 7 |
| 86.05 | 11 |

Crystal structure
```
12
Lattice="3.1000 -5.3645 0.0000 3.1000 5.3645 0.0000 -2.0697 0.0000 11.6574" Properties=species:S:1:pos:R:3 pbc="T T T"
Tb -0.0130 1.8055 8.7930
Tb 1.0109 0.0000 2.8692
Tb -0.0130 -1.8055 8.7930
Tb 4.1433 1.8055 2.8644
Tb 3.1195 0.0000 8.7882
Tb 4.1433 -1.8055 2.8644
Sm -1.0349 0.0000 5.8287
Sm 2.0652 1.7872 5.8287
Sm 2.0652 -1.7872 5.8287
Er 3.1000 0.0000 0.0000
Th 3.1000 3.5779 0.0000
Th 3.1000 -3.5779 0.0000
```


[9]
Structure and theoretical powder X-ray diffraction pattern of Nd3GdN (a GGA-PBE-relaxed structure; copper Kα).
Lines closer than 0.1° are merged.

Most intense lines, 2θ = 10–90°, sorted by position:
| two_theta | intensity |
| --- | --- |
| 30.06 | 100 |
| 34.85 | 56 |
| 50.12 | 40 |
| 59.56 | 44 |
| 62.49 | 14 |
| 73.59 | 6 |
| 81.49 | 18 |
| 84.08 | 18 |

Crystal structure
```
5
Lattice="5.1483 0.0000 0.0000 0.0000 5.1483 0.0000 0.0000 0.0000 5.1483" Properties=species:S:1:pos:R:3 pbc="T T T"
Nd 0.0000 0.0000 2.5742
Nd 0.0000 2.5742 0.0000
Nd 2.5742 0.0000 0.0000
Gd 2.5742 2.5742 2.5742
N 0.0000 0.0000 0.0000
```


[10]
Structure and theoretical powder X-ray diffraction pattern of MgPbF6 (a GGA-PBE-relaxed structure; copper Kα).
Lines closer than 0.1° are merged.

Most intense lines, 2θ = 10–90°, sorted by position:
| two_theta | intensity |
| --- | --- |
| 18.36 | 21 |
| 21.68 | 100 |
| 26.99 | 29 |
| 34.16 | 28 |
| 34.31 | 14 |
| 39.19 | 28 |
| 40.95 | 16 |
| 49.20 | 13 |
| 51.51 | 24 |
| 54.46 | 17 |
| 61.39 | 21 |
| 74.01 | 9 |

Crystal structure
```
16
Lattice="5.2274 0.0000 0.0000 -2.6137 4.5271 0.0000 0.0000 0.0000 9.6645" Properties=species:S:1:pos:R:3 pbc="T T T"
Mg 0.0000 0.0000 0.0000
Mg 0.0000 0.0000 4.8323
Pb 0.0000 3.0181 2.4161
Pb 2.6137 1.5090 7.2484
F -0.7178 1.4774 1.1724
F -1.6932 3.1668 3.6599
F 0.7178 1.4774 3.6599
F -0.9754 4.4100 1.1724
F 1.6383 0.1171 6.0047
F 0.9205 1.3603 8.4921
F 1.6932 3.1668 1.1724
F 0.9754 4.4100 3.6599
F 3.5891 0.1171 8.4921
F 1.8959 3.0497 6.0047
F 4.3069 1.3603 6.0047
F 3.3315 3.0497 8.4921
```